Record 1
Simulated X-ray diffraction stick pattern of Li2DyMg10 for Cu Kα, from a GGA-PBE-relaxed structure.

Most intense lines, 15° ≤ 2θ ≤ 90°, by angle:
2θ (°), d [Å], I/Imax, index
17.3, 5.135, 50.5, 0 1 1
18.0, 4.937, 64.5, 1 0 0
25.0, 3.568, 36.6, 1 1 -1
25.1, 3.553, 59.2, 1 1 2
27.5, 3.246, 48.0, 0 2 1
30.5, 2.930, 39.9, 1 2 -1
30.6, 2.920, 39.4, 1 2 2
34.9, 2.567, 45.3, 0 2 2
35.2, 2.550, 35.4, 1 1 -2
35.4, 2.539, 100.0, 1 1 3

Cell and atoms:
a = 5.631 Å, b = 7.775 Å, c = 7.782 Å
α = 82.59°, β = 69.12°, γ = 68.87°
Space group P-1 (No. 2)
Inequivalent atoms, fractional coordinates:
Li 0.000 0.000 0.000 x1
Li 0.500 0.000 0.000 x1
Dy 0.000 0.000 0.500 x1
Mg 0.000 0.500 0.500 x1
Mg 0.007 0.343 0.142 x2
Mg 0.288 0.206 0.717 x2
Mg 0.349 0.657 0.143 x2
Mg 0.496 0.794 0.717 x2
Mg 0.500 0.500 0.500 x1



Record 2
Simulated X-ray diffraction stick pattern of AgGeSbO6 for Cu Kα, from a GGA-PBE-relaxed structure.

Most intense lines, 15° ≤ 2θ ≤ 90°, by angle:
2θ (°), d [Å], I/Imax, index
19.3, 4.594, 8.9, 0 0 2
27.7, 3.217, 100.0, 1 0 2
34.5, 2.601, 42.2, 1 1 0
39.8, 2.263, 10.2, 1 1 2
44.8, 2.023, 25.3, 2 0 2
53.2, 1.722, 42.6, 1 1 4
57.7, 1.597, 24.0, 2 1 2
61.8, 1.502, 15.8, 3 0 0
79.5, 1.206, 9.6, 4 -1 2
85.9, 1.132, 9.9, 4 -2 4

Cell and atoms:
a = 5.2024 Å, b = 5.2024 Å, c = 9.1872 Å
α = 90.00°, β = 90.00°, γ = 120.00°
Space group P-31c (No. 163)
Inequivalent atoms, fractional coordinates:
Ag 0.0000 0.0000 0.0000 x2
Ge 0.3333 0.6667 0.2500 x2
Sb 0.3333 0.6667 0.7500 x2
O 0.0126 0.3693 0.1365 x12



Record 3
Simulated X-ray diffraction stick pattern of UO4 for Cu Kα, from a GGA-PBE-relaxed structure.

Most intense lines, 15° ≤ 2θ ≤ 90°, by angle:
2θ (°), d [Å], I/Imax, index
25.8, 3.458, 31.6, 0 0 2
26.9, 3.313, 100.0, 1 1 1
29.8, 2.996, 49.0, 0 4 0
34.4, 2.610, 32.3, 1 3 1
46.1, 1.968, 55.1, 1 1 3
51.2, 1.785, 17.7, 1 3 3
52.9, 1.730, 13.1, 0 0 4
55.5, 1.656, 18.6, 2 4 0
60.4, 1.534, 25.5, 1 5 3
72.8, 1.299, 15.8, 1 7 3

Cell and atoms:
a = 3.976 Å, b = 11.990 Å, c = 6.916 Å
α = 90.00°, β = 90.00°, γ = 90.00°
Space group Cmce (No. 64)
Inequivalent atoms, fractional coordinates:
U 0.000 0.000 0.000 x4
O 0.000 0.001 0.334 x8
O 0.000 0.151 0.997 x8



Record 4
Simulated X-ray diffraction stick pattern of GaH2Pd4 for Cu Kα, from a GGA-PBE-relaxed structure.

Most intense lines, 15° ≤ 2θ ≤ 90°, by angle:
2θ (°), d [Å], I/Imax, index
28.3, 3.148, 22.3, 0 0 2
37.5, 2.399, 86.7, 2 2 1
38.4, 2.343, 34.0, -1 1 1
38.7, 2.329, 36.2, 1 -1 2
39.4, 2.285, 100.0, 0 2 1
40.1, 2.251, 53.2, 2 0 0
40.2, 2.241, 64.4, 1 1 -2
40.4, 2.234, 46.0, 2 0 2
40.6, 2.221, 61.0, 1 1 3
73.2, 1.292, 17.8, 1 3 -3

Cell and atoms:
a = 5.502 Å, b = 5.623 Å, c = 6.842 Å
α = 78.98°, β = 67.03°, γ = 60.71°
Space group P1 (No. 1)
Inequivalent atoms, fractional coordinates:
Ga 0.000 0.000 0.000 x1
Ga 0.248 0.503 0.500 x1
H 0.094 0.283 0.177 x1
H 0.516 0.785 0.321 x1
H 0.551 0.716 0.821 x1
H 0.627 0.218 0.677 x1
Pd 0.240 0.377 0.872 x1
Pd 0.355 0.866 0.626 x1
Pd 0.440 0.133 0.225 x1
Pd 0.470 0.635 0.125 x1
Pd 0.787 0.872 0.779 x1
Pd 0.823 0.369 0.724 x1
Pd 0.866 0.123 0.373 x1
Pd 0.908 0.630 0.278 x1